# CsNa5Se3
Calculated X-ray powder pattern, λ = 1.5418 Å (Cu Kα). Input: a crystal structure in Alexandria, relaxed with GGA-PBE.
Neutral-atom scattering factors, no anomalous dispersion.

Crystal structure
```
data_CsNa5Se3
_cell_length_a 4.749
_cell_length_b 15.766
_cell_length_c 13.922
_cell_angle_alpha 90.00
_cell_angle_beta 90.00
_cell_angle_gamma 90.00
_space_group_name_H-M_alt 'C m c m'
_space_group_IT_number 63
_space_group_name_Hall '-C 2c 2'
loop_
_atom_site_label
_atom_site_type_symbol
_atom_site_fract_x
_atom_site_fract_y
_atom_site_fract_z
Cs1 Cs 0.000 0.167 0.250
Na1 Na 0.000 0.000 0.000
Na2 Na 0.000 0.194 0.565
Na3 Na 0.000 0.456 0.141
Se1 Se 0.000 0.092 0.750
Se2 Se 0.000 0.376 0.545
```

Most intense lines, 10 to 90 degrees two-theta, by intensity:
| two_theta | intensity | index |
| --- | --- | --- |
| 23.40 | 100 | 0 4 1 |
| 28.39 | 69 | 1 3 2 |
| 27.46 | 48 | 1 1 3 |
| 39.41 | 41 | 1 5 3 |
| 37.89 | 39 | 2 0 0 |
| 45.03 | 29 | 1 7 1 |
| 22.56 | 27 | 0 4 0 |
| 34.14 | 26 | 0 2 5 |
| 25.59 | 26 | 0 0 4 |
| 29.74 | 22 | 0 4 3 |



# Dy4Ho2ErTm2
Calculated X-ray powder pattern, λ = 1.5418 Å (Cu Kα). Input: a crystal structure in Alexandria, relaxed with GGA-PBE.
Neutral-atom scattering factors, no anomalous dispersion.

Crystal structure
```
data_Dy4Ho2ErTm2
_cell_length_a 18.436
_cell_length_b 3.549
_cell_length_c 9.412
_cell_angle_alpha 90.00
_cell_angle_beta 115.78
_cell_angle_gamma 90.00
_space_group_name_H-M_alt 'C 1 2/m 1'
_space_group_IT_number 12
loop_
_space_group_symop_operation_xyz
'x,y,z'
'-x,-y,-z'
'-x,y,-z'
'x,-y,z'
'x+1/2,y+1/2,z'
'-x+1/2,-y+1/2,-z'
'-x+1/2,y+1/2,-z'
'x+1/2,-y+1/2,z'
loop_
_atom_site_label
_atom_site_type_symbol
_atom_site_fract_x
_atom_site_fract_y
_atom_site_fract_z
Dy1 Dy 0.018 0.000 0.333
Dy2 Dy 0.185 0.500 0.333
Ho1 Ho 0.148 0.500 0.668
Er1 Er 0.000 0.500 0.000
Tm1 Tm 0.167 0.000 0.000
```

Most intense lines, 10 to 90 degrees two-theta, by intensity:
| two_theta | intensity | index |
| --- | --- | --- |
| 32.36 | 100 | 6 0 0 |
| 34.09 | 86 | 3 1 1 |
| 31.67 | 49 | 0 0 3 |
| 61.74 | 44 | 9 1 1 |
| 51.51 | 38 | 0 2 0 |
| 29.27 | 37 | 6 0 -1 |
| 55.71 | 22 | 6 0 3 |
| 59.08 | 18 | 3 1 4 |
| 88.47 | 18 | 9 1 4 |
| 40.85 | 16 | 3 1 2 |



# Dy4Ga
Calculated X-ray powder pattern, λ = 1.5418 Å (Cu Kα). Input: a crystal structure in Alexandria, relaxed with GGA-PBE.
Neutral-atom scattering factors, no anomalous dispersion.

Crystal structure
```
data_Dy4Ga
_cell_length_a 6.428
_cell_length_b 6.428
_cell_length_c 14.230
_cell_angle_alpha 90.00
_cell_angle_beta 90.00
_cell_angle_gamma 90.00
_space_group_name_H-M_alt 'I 41/a'
_space_group_IT_number 88
loop_
_space_group_symop_operation_xyz
'x,y,z'
'-x,-y,-z'
'-y+3/4,x+1/4,z+1/4'
'y+3/4,-x+1/4,-z+1/4'
'-x+1/2,-y,z+1/2'
'x+1/2,y,-z+1/2'
'y+3/4,-x+3/4,z+3/4'
'-y+3/4,x+3/4,-z+3/4'
'x+1/2,y+1/2,z+1/2'
'-x+1/2,-y+1/2,-z+1/2'
'-y+1/4,x+3/4,z+3/4'
'y+1/4,-x+3/4,-z+3/4'
'-x,-y+1/2,z'
'x,y+1/2,-z'
'y+1/4,-x+1/4,z+1/4'
'-y+1/4,x+1/4,-z+1/4'
loop_
_atom_site_label
_atom_site_type_symbol
_atom_site_fract_x
_atom_site_fract_y
_atom_site_fract_z
Dy1 Dy 0.138 0.491 0.296
Ga1 Ga 0.000 0.250 0.125
```

Most intense lines, 10 to 90 degrees two-theta, by intensity:
| two_theta | intensity | index |
| --- | --- | --- |
| 31.75 | 100 | 1 2 1 |
| 31.94 | 91 | 1 1 4 |
| 36.55 | 50 | 2 1 3 |
| 46.48 | 33 | 3 1 2 |
| 27.75 | 29 | 2 0 0 |
| 30.52 | 26 | 2 0 2 |
| 59.93 | 24 | 1 3 6 |
| 34.46 | 24 | 1 0 5 |
| 58.91 | 21 | 4 0 2 |
| 51.67 | 21 | 3 2 1 |



# Pr2SnSe4
Calculated X-ray powder pattern, λ = 1.5418 Å (Cu Kα). Input: a crystal structure in Alexandria, relaxed with GGA-PBE.
Neutral-atom scattering factors, no anomalous dispersion.

Crystal structure
```
data_Pr2SnSe4
_cell_length_a 15.612
_cell_length_b 4.316
_cell_length_c 7.564
_cell_angle_alpha 90.00
_cell_angle_beta 116.40
_cell_angle_gamma 90.00
_space_group_name_H-M_alt 'C 1 2/m 1'
_space_group_IT_number 12
loop_
_space_group_symop_operation_xyz
'x,y,z'
'-x,-y,-z'
'-x,y,-z'
'x,-y,z'
'x+1/2,y+1/2,z'
'-x+1/2,-y+1/2,-z'
'-x+1/2,y+1/2,-z'
'x+1/2,-y+1/2,z'
loop_
_atom_site_label
_atom_site_type_symbol
_atom_site_fract_x
_atom_site_fract_y
_atom_site_fract_z
Pr1 Pr 0.223 0.000 0.215
Sn1 Sn 0.000 0.500 0.500
Se1 Se 0.127 0.500 0.937
Se2 Se 0.142 0.000 0.505
```

Most intense lines, 10 to 90 degrees two-theta, by intensity:
| two_theta | intensity | index |
| --- | --- | --- |
| 34.70 | 100 | 3 1 1 |
| 26.74 | 100 | 1 1 1 |
| 41.51 | 98 | 3 1 -3 |
| 27.31 | 66 | 4 0 -2 |
| 12.66 | 65 | 2 0 0 |
| 35.50 | 64 | 5 1 -1 |
| 41.86 | 52 | 0 2 0 |
| 23.74 | 51 | 1 1 -1 |
| 35.76 | 49 | 6 0 -2 |
| 28.18 | 47 | 3 1 0 |



# Sm5Er3S8
Calculated X-ray powder pattern, λ = 1.5418 Å (Cu Kα). Input: a crystal structure in Alexandria, relaxed with GGA-PBE.
Neutral-atom scattering factors, no anomalous dispersion.

Crystal structure
```
data_Sm5Er3S8
_cell_length_a 7.8935
_cell_length_b 7.8935
_cell_length_c 19.4869
_cell_angle_alpha 90.00
_cell_angle_beta 90.00
_cell_angle_gamma 120.00
_space_group_name_H-M_alt 'R -3 m'
_space_group_IT_number 166
_space_group_name_Hall '-R 3 2"'
loop_
_atom_site_label
_atom_site_type_symbol
_atom_site_fract_x
_atom_site_fract_y
_atom_site_fract_z
Sm1 Sm 0.0000 0.0000 0.0000
Sm2 Sm 0.0000 0.0000 0.5000
Sm3 Sm 0.0000 0.5000 0.0000
Er1 Er 0.0000 0.5000 0.5000
S1 S 0.0000 0.0000 0.2451
S2 S 0.0067 0.5033 0.7534
```

Most intense lines, 10 to 90 degrees two-theta, by intensity:
| two_theta | intensity | index |
| --- | --- | --- |
| 31.99 | 100 | 0 2 4 |
| 27.66 | 60 | 2 0 2 |
| 45.74 | 36 | 2 0 8 |
| 45.99 | 36 | 2 2 0 |
| 27.46 | 20 | 0 0 6 |
| 54.40 | 20 | 2 2 6 |
| 57.12 | 19 | 4 0 4 |
| 75.88 | 16 | 2 2 12 |
| 76.25 | 16 | 2 4 4 |
| 84.98 | 12 | 4 2 8 |



# Nd2VSe5
Calculated X-ray powder pattern, λ = 1.5418 Å (Cu Kα). Input: a crystal structure in Alexandria, relaxed with GGA-PBE.
Neutral-atom scattering factors, no anomalous dispersion.

Crystal structure
```
data_Nd2VSe5
_cell_length_a 7.146
_cell_length_b 7.146
_cell_length_c 8.004
_cell_angle_alpha 90.00
_cell_angle_beta 90.00
_cell_angle_gamma 90.00
_space_group_name_H-M_alt 'I 4 m m'
_space_group_IT_number 107
_space_group_name_Hall 'I 4 -2'
loop_
_atom_site_label
_atom_site_type_symbol
_atom_site_fract_x
_atom_site_fract_y
_atom_site_fract_z
Nd1 Nd 0.000 0.500 0.000
V1 V 0.000 0.000 0.168
Se1 Se 0.000 0.000 0.897
Se2 Se 0.238 0.238 0.230
```

Most intense lines, 10 to 90 degrees two-theta, by intensity:
| two_theta | intensity | index |
| --- | --- | --- |
| 33.63 | 100 | 2 0 2 |
| 35.53 | 64 | 2 2 0 |
| 28.45 | 38 | 1 1 2 |
| 62.60 | 31 | 4 2 2 |
| 51.13 | 22 | 4 0 0 |
| 46.13 | 19 | 3 1 2 |
| 17.55 | 16 | 1 1 0 |
| 58.87 | 15 | 2 2 4 |
| 16.63 | 15 | 1 0 1 |
| 61.94 | 14 | 3 1 4 |



# Pm4NdMg
Calculated X-ray powder pattern, λ = 1.5418 Å (Cu Kα). Input: a crystal structure in Alexandria, relaxed with GGA-PBE.
Neutral-atom scattering factors, no anomalous dispersion.

Crystal structure
```
data_Pm4NdMg
_cell_length_a 6.497
_cell_length_b 6.967
_cell_length_c 9.065
_cell_angle_alpha 90.00
_cell_angle_beta 104.57
_cell_angle_gamma 90.00
_space_group_name_H-M_alt 'P 1 21/m 1'
_space_group_IT_number 11
loop_
_space_group_symop_operation_xyz
'x,y,z'
'-x,-y,-z'
'-x,y+1/2,-z'
'x,-y+1/2,z'
loop_
_atom_site_label
_atom_site_type_symbol
_atom_site_fract_x
_atom_site_fract_y
_atom_site_fract_z
Pm1 Pm 0.105 0.001 0.302
Pm2 Pm 0.308 0.250 0.003
Pm3 Pm 0.380 0.250 0.651
Nd1 Nd 0.368 0.750 0.646
Mg1 Mg 0.197 0.750 0.002
```

Most intense lines, 10 to 90 degrees two-theta, by intensity:
| two_theta | intensity | index |
| --- | --- | --- |
| 29.31 | 100 | 1 2 0 |
| 30.57 | 92 | 0 0 3 |
| 30.53 | 88 | 2 0 -2 |
| 32.25 | 80 | 1 2 1 |
| 33.71 | 79 | 1 2 -2 |
| 32.58 | 70 | 2 0 1 |
| 27.60 | 53 | 2 0 -1 |
| 62.01 | 46 | 0 4 3 |
| 40.04 | 35 | 1 2 -3 |
| 32.83 | 34 | 0 2 2 |



# KSr2Pa2O7
Calculated X-ray powder pattern, λ = 1.5418 Å (Cu Kα). Input: a crystal structure in Alexandria, relaxed with GGA-PBE.
Neutral-atom scattering factors, no anomalous dispersion.

Crystal structure
```
data_KSr2Pa2O7
_cell_length_a 4.614
_cell_length_b 20.277
_cell_length_c 4.616
_cell_angle_alpha 90.00
_cell_angle_beta 90.00
_cell_angle_gamma 90.00
_space_group_name_H-M_alt 'I m m 2'
_space_group_IT_number 44
loop_
_space_group_symop_operation_xyz
'x,y,z'
'-x,-y,z'
'-x,y,z'
'x,-y,z'
'x+1/2,y+1/2,z+1/2'
'-x+1/2,-y+1/2,z+1/2'
'-x+1/2,y+1/2,z+1/2'
'x+1/2,-y+1/2,z+1/2'
loop_
_atom_site_label
_atom_site_type_symbol
_atom_site_fract_x
_atom_site_fract_y
_atom_site_fract_z
K1 K 0.000 0.000 0.000
Sr1 Sr 0.000 0.250 0.498
Pa1 Pa 0.000 0.393 0.998
O1 O 0.000 0.118 0.498
O2 O 0.000 0.284 0.998
O3 O 0.000 0.382 0.498
O4 O 0.000 0.500 0.997
```

Most intense lines, 10 to 90 degrees two-theta, by intensity:
| two_theta | intensity | index |
| --- | --- | --- |
| 19.73 | 100 | 1 1 0 |
| 29.32 | 64 | 0 5 1 |
| 32.63 | 49 | 1 4 1 |
| 39.03 | 49 | 2 0 0 |
| 23.34 | 35 | 1 3 0 |
| 28.74 | 32 | 1 2 1 |
| 49.56 | 32 | 2 5 1 |
| 44.11 | 26 | 2 1 1 |
| 53.18 | 26 | 1 10 1 |
| 44.75 | 25 | 1 9 0 |



- What is the formula in the seventh record?
  Pm4NdMg